Record 1
This entry pairs a crystal structure of La5Mg41 with its computed powder XRD pattern. Radiation: Cu Kα (λ = 1.5418 Å). Structure: a cell relaxed with PBE.
Peak positions follow from Bragg's law for the DFT cell and can differ from measured ones.

Atomic structure:
a b c (Å): 11.6986 11.6986 11.6986
angles (deg): 101.56 101.56 126.82
Fractional positions:
La (0.0000, 0.0000, 0.0000)
La (0.2369, 0.5710, 0.8078)
La (0.4290, 0.2369, 0.6659)
La (0.5710, 0.7631, 0.3341)
La (0.7631, 0.4290, 0.1922)
Mg (0.0000, 0.0000, 0.5000)
Mg (0.0000, 0.5000, 0.0000)
Mg (0.0100, 0.4024, 0.4125)
Mg (0.0800, 0.7919, 0.1658)
Mg (0.0858, 0.9200, 0.7118)
Mg (0.1082, 0.8177, 0.4437)
Mg (0.1219, 0.7786, 0.9005)
Mg (0.1735, 0.2328, 0.7871)
Mg (0.1823, 0.6259, 0.2905)
Mg (0.2081, 0.3740, 0.2882)
Mg (0.2167, 0.3410, 0.5578)
Mg (0.2214, 0.1219, 0.3433)
Mg (0.2328, 0.4457, 0.0593)
Mg (0.3354, 0.8918, 0.7095)
Mg (0.3410, 0.7833, 0.1243)
Mg (0.3740, 0.0858, 0.1658)
Mg (0.3741, 0.6646, 0.5563)
Mg (0.3864, 0.1735, 0.9407)
Mg (0.4024, 0.9900, 0.3924)
Mg (0.4457, 0.3864, 0.2129)
Mg (0.5000, 0.0000, 0.0000)
Mg (0.5000, 0.5000, 0.0000)
Mg (0.5000, 0.5000, 0.5000)
Mg (0.5543, 0.6136, 0.7871)
Mg (0.5976, 0.0100, 0.6076)
Mg (0.6136, 0.8265, 0.0593)
Mg (0.6259, 0.3354, 0.4437)
Mg (0.6260, 0.9142, 0.8342)
Mg (0.6590, 0.2167, 0.8757)
Mg (0.6646, 0.1082, 0.2905)
Mg (0.7672, 0.5543, 0.9407)
Mg (0.7786, 0.8781, 0.6567)
Mg (0.7833, 0.6590, 0.4422)
Mg (0.7919, 0.6260, 0.7118)
Mg (0.8177, 0.3741, 0.7095)
Mg (0.8265, 0.7672, 0.2129)
Mg (0.8781, 0.2214, 0.0995)
Mg (0.8918, 0.1823, 0.5563)
Mg (0.9142, 0.0800, 0.2882)
Mg (0.9200, 0.2081, 0.8342)
Mg (0.9900, 0.5976, 0.5875)

Main lines, by intensity (5° ≤ 2θ ≤ 70°):
15.84°, intensity 100
35.37°, intensity 87
32.00°, intensity 77
31.42°, intensity 66
28.92°, intensity 66
35.89°, intensity 61
25.53°, intensity 49
33.72°, intensity 41
18.97°, intensity 41
16.94°, intensity 35

=====

Record 2
This entry pairs a crystal structure of Na4Au with its computed powder XRD pattern. Radiation: Cu Kα (λ = 1.5418 Å). Structure: a cell relaxed with PBE.
Peak positions follow from Bragg's law for the DFT cell and can differ from measured ones.

Atomic structure:
a b c (Å): 8.1147 8.1147 8.1147
angles (deg): 60.00 60.00 60.00
Fractional positions:
Na (0.2029, 0.7657, 0.7657)
Na (0.2343, 0.2343, 0.2343)
Na (0.2343, 0.2343, 0.7971)
Na (0.2343, 0.7971, 0.2343)
Na (0.7657, 0.2029, 0.7657)
Na (0.7657, 0.7657, 0.2029)
Na (0.7657, 0.7657, 0.7657)
Na (0.7971, 0.2343, 0.2343)
Au (0.3750, 0.3750, 0.3750)
Au (0.6250, 0.6250, 0.6250)

Main lines, by intensity (5° ≤ 2θ ≤ 70°):
21.91°, intensity 100
13.36°, intensity 76
25.75°, intensity 61
38.43°, intensity 45
34.05°, intensity 44
40.86°, intensity 33
44.67°, intensity 31
60.36°, intensity 28
46.83°, intensity 22
50.28°, intensity 20

=====

Record 3
This entry pairs a crystal structure of Bi2TeO2 with its computed powder XRD pattern. Radiation: Cu Kα (λ = 1.5418 Å). Structure: a cell relaxed with PBE.
Peak positions follow from Bragg's law for the DFT cell and can differ from measured ones.

Atomic structure:
a b c (Å): 7.0512 4.0239 7.0509
angles (deg): 73.42 33.16 73.42
Fractional positions:
Bi (0.1541, 0.8459, 0.1541)
Bi (0.8459, 0.1541, 0.8459)
Te (0.5071, 0.5071, 0.4929)
O (0.2514, 0.2514, 0.2486)
O (0.7514, 0.7514, 0.7486)

Main lines, by intensity (5° ≤ 2θ ≤ 70°):
30.42°, intensity 100
31.44°, intensity 42
55.34°, intensity 38
53.40°, intensity 21
45.06°, intensity 20
63.30°, intensity 10
23.15°, intensity 8
42.01°, intensity 8
42.36°, intensity 7
69.62°, intensity 7

=====

Record 4
This entry pairs a crystal structure of RbCdAg3C6N6 with its computed powder XRD pattern. Radiation: Cu Kα (λ = 1.5418 Å). Structure: a cell relaxed with PBE.
Peak positions follow from Bragg's law for the DFT cell and can differ from measured ones.

Atomic structure:
a b c (Å): 7.2858 7.2858 8.2783
angles (deg): 90.00 90.00 120.00
Fractional positions:
Rb (0.0000, 0.0000, 0.0000)
Cd (0.6667, 0.3333, 0.0000)
Ag (0.1763, 0.3526, 0.5000)
Ag (0.1763, 0.8237, 0.5000)
Ag (0.6474, 0.8237, 0.5000)
C (0.0172, 0.3430, 0.2924)
C (0.0172, 0.6741, 0.7076)
C (0.3259, 0.3430, 0.7076)
C (0.3259, 0.9828, 0.2924)
C (0.6570, 0.6741, 0.2924)
C (0.6570, 0.9828, 0.7076)
N (0.4082, 0.0753, 0.1738)
N (0.4082, 0.3329, 0.8262)
N (0.6671, 0.0753, 0.8262)
N (0.6671, 0.5918, 0.1738)
N (0.9247, 0.3329, 0.1738)
N (0.9247, 0.5918, 0.8262)

Main lines, by intensity (5° ≤ 2θ ≤ 70°):
17.67°, intensity 100
26.74°, intensity 78
35.79°, intensity 60
28.29°, intensity 49
30.32°, intensity 44
21.47°, intensity 38
55.09°, intensity 29
41.03°, intensity 24
44.44°, intensity 20
52.91°, intensity 19

=====

Record 5
This entry pairs a crystal structure of Ce2TiO5 with its computed powder XRD pattern. Radiation: Cu Kα (λ = 1.5418 Å). Structure: a cell relaxed with PBE.
Peak positions follow from Bragg's law for the DFT cell and can differ from measured ones.

Atomic structure:
a b c (Å): 6.7053 6.7053 7.6909
angles (deg): 112.85 112.85 46.94
Fractional positions:
Ce (0.1168, 0.1648, 0.2681)
Ce (0.1648, 0.1168, 0.7681)
Ce (0.8352, 0.8832, 0.2319)
Ce (0.8832, 0.8352, 0.7319)
Ti (0.5000, 0.5000, 0.0000)
Ti (0.5000, 0.5000, 0.5000)
O (0.1106, 0.7483, 0.0409)
O (0.1789, 0.4878, 0.3612)
O (0.2517, 0.8894, 0.4591)
O (0.3471, 0.6529, 0.7500)
O (0.4878, 0.1789, 0.8612)
O (0.5122, 0.8211, 0.1388)
O (0.6529, 0.3471, 0.2500)
O (0.7483, 0.1106, 0.5409)
O (0.8211, 0.5122, 0.6388)
O (0.8894, 0.2517, 0.9591)

Main lines, by intensity (5° ≤ 2θ ≤ 70°):
29.28°, intensity 100
28.75°, intensity 94
31.53°, intensity 63
18.42°, intensity 56
25.57°, intensity 42
46.69°, intensity 40
33.55°, intensity 34
32.13°, intensity 24
42.66°, intensity 23
55.05°, intensity 22